YTmScAl: theoretical powder XRD pattern (Cu Kα (weighted mean of Kα1 and Kα2)), based on DFT lattice parameters and positions (PBE).
Neutral-atom scattering factors, no anomalous dispersion.

Cell and atoms:
```
data_YTmScAl
_chemical_formula_sum 'Y4 Tm4 Sc4 Al4'
_symmetry_space_group_name_H-M 'F -4 3 m'
_symmetry_Int_Tables_number 216
_symmetry_space_group_name_Hall 'F -4 2 3'
_cell_length_a 7.3733
_cell_length_b 7.3733
_cell_length_c 7.3733
_cell_angle_alpha 90.00
_cell_angle_beta 90.00
_cell_angle_gamma 90.00
loop_
_atom_site_label
_atom_site_fract_x
_atom_site_fract_y
_atom_site_fract_z
Y1 0.0000 0.0000 0.0000
Tm1 0.0000 0.0000 0.5000
Sc1 0.2500 0.2500 0.2500
Al1 0.2500 0.2500 0.7500
```

Principal peaks in the range 2θ = 10–90°, in order of falling intensity:
Position (°2θ)	d (Å)	intensity	(hkl)
34.40	2.607	100	2 2 0
24.14	3.687	39	2 0 0
61.62	1.505	36	4 2 2
49.44	1.843	18	4 0 0
55.76	1.649	16	4 2 0
82.79	1.166	15	6 2 0
20.87	4.257	13	1 1 1
42.47	2.128	12	2 2 2
72.52	1.303	11	4 4 0
77.71	1.229	8	6 0 0

TmSc2Al2Zn2: theoretical powder XRD pattern (Cu Kα (weighted mean of Kα1 and Kα2)), based on DFT lattice parameters and positions (PBE).
Neutral-atom scattering factors, no anomalous dispersion.

Cell and atoms:
```
data_TmSc2Al2Zn2
_chemical_formula_sum 'Tm3 Sc6 Al6 Zn6'
_symmetry_space_group_name_H-M 'R -3 m'
_symmetry_Int_Tables_number 166
_symmetry_space_group_name_Hall '-R 3 2"'
_cell_length_a 4.4203
_cell_length_b 4.4203
_cell_length_c 25.3092
_cell_angle_alpha 90.00
_cell_angle_beta 90.00
_cell_angle_gamma 120.00
loop_
_atom_site_label
_atom_site_fract_x
_atom_site_fract_y
_atom_site_fract_z
Tm1 0.0000 0.0000 0.0000
Sc1 0.0000 0.0000 0.1301
Al1 0.0000 0.0000 0.2583
Zn1 0.0000 0.0000 0.4042
```

Principal peaks in the range 2θ = 10–90°, in order of falling intensity:
Position (°2θ)	d (Å)	intensity	(hkl)
40.83	2.210	100	1 1 0
34.11	2.629	88	1 0 7
10.49	8.436	77	0 0 3
29.25	3.053	71	0 1 5
36.86	2.439	66	0 1 8
24.29	3.664	47	0 1 2
70.18	1.341	33	1 1 15
42.84	2.111	29	1 0 10
23.50	3.785	25	1 0 1
54.22	1.692	23	0 2 7

Tm2ScAl3Zn6: theoretical powder XRD pattern (Cu Kα (weighted mean of Kα1 and Kα2)), based on DFT lattice parameters and positions (PBE).
Neutral-atom scattering factors, no anomalous dispersion.

Cell and atoms:
```
data_Tm2ScAl3Zn6
_chemical_formula_sum 'Tm2 Sc1 Al3 Zn6'
_symmetry_space_group_name_H-M 'P 4/m m m'
_symmetry_Int_Tables_number 123
_symmetry_space_group_name_Hall '-P 4 2'
_cell_length_a 3.8798
_cell_length_b 3.8798
_cell_length_c 17.7275
_cell_angle_alpha 90.00
_cell_angle_beta 90.00
_cell_angle_gamma 90.00
loop_
_atom_site_label
_atom_site_fract_x
_atom_site_fract_y
_atom_site_fract_z
Tm1 0.0000 0.0000 0.2114
Sc1 0.0000 0.0000 0.5000
Al1 0.5000 0.5000 0.0000
Al2 0.5000 0.5000 0.2785
Zn1 0.0000 0.5000 0.3778
Zn2 0.5000 0.5000 0.1360
```

Principal peaks in the range 2θ = 10–90°, in order of falling intensity:
Position (°2θ)	d (Å)	intensity	(hkl)
36.10	2.488	100	1 1 3
34.24	2.619	89	1 0 5
42.63	2.121	80	1 0 7
25.09	3.550	79	0 0 5
46.83	1.940	68	2 0 0
38.60	2.333	61	1 1 4
33.04	2.711	58	1 1 1
30.62	2.919	52	1 0 4
65.17	1.431	44	2 1 7
27.50	3.243	31	1 0 3

YSc2Al2: theoretical powder XRD pattern (Cu Kα (weighted mean of Kα1 and Kα2)), based on DFT lattice parameters and positions (PBE).
Neutral-atom scattering factors, no anomalous dispersion.

Cell and atoms:
```
data_YSc2Al2
_chemical_formula_sum 'Y2 Sc4 Al4'
_symmetry_space_group_name_H-M 'P 4/m b m'
_symmetry_Int_Tables_number 127
_symmetry_space_group_name_Hall '-P 4 2ab'
_cell_length_a 8.0851
_cell_length_b 8.0851
_cell_length_c 3.4539
_cell_angle_alpha 90.00
_cell_angle_beta 90.00
_cell_angle_gamma 90.00
loop_
_atom_site_label
_atom_site_fract_x
_atom_site_fract_y
_atom_site_fract_z
Y1 0.0000 0.0000 0.0000
Sc1 0.1769 0.3231 0.5000
Al1 0.1189 0.6189 0.0000
```

Principal peaks in the range 2θ = 10–90°, in order of falling intensity:
Position (°2θ)	d (Å)	intensity	(hkl)
34.14	2.626	100	2 0 1
35.10	2.557	99	3 1 0
35.96	2.498	78	2 1 1
31.29	2.859	44	2 2 0
30.23	2.956	39	1 1 1
65.21	1.431	37	3 1 2
64.69	1.441	31	5 1 1
15.50	5.717	28	1 1 0
44.07	2.055	26	3 1 1
55.04	1.669	26	3 3 1

Y6Sc2Al: theoretical powder XRD pattern (Cu Kα (weighted mean of Kα1 and Kα2)), based on DFT lattice parameters and positions (PBE).
Neutral-atom scattering factors, no anomalous dispersion.

Cell and atoms:
```
data_Y6Sc2Al
_chemical_formula_sum 'Y12 Sc4 Al2'
_symmetry_space_group_name_H-M 'P n n m'
_symmetry_Int_Tables_number 58
_cell_length_a 9.9587
_cell_length_b 9.9884
_cell_length_c 5.2466
_cell_angle_alpha 90.00
_cell_angle_beta 90.00
_cell_angle_gamma 90.00
loop_
_symmetry_equiv_pos_as_xyz
'x,y,z'
'-x,-y,-z'
'-x,-y,z'
'x,y,-z'
'x+1/2,-y+1/2,-z+1/2'
'-x+1/2,y+1/2,z+1/2'
'-x+1/2,y+1/2,-z+1/2'
'x+1/2,-y+1/2,z+1/2'
loop_
_atom_site_label
_atom_site_fract_x
_atom_site_fract_y
_atom_site_fract_z
Y1 0.0383 0.1885 0.0000
Y2 0.1225 0.6208 0.5000
Y3 0.1880 0.9592 0.5000
Sc1 0.2115 0.2860 0.5000
Al1 0.0000 0.5000 0.0000
```

Principal peaks in the range 2θ = 10–90°, in order of falling intensity:
Position (°2θ)	d (Å)	intensity	(hkl)
31.87	2.808	100	3 0 1
33.14	2.703	47	1 3 1
34.18	2.623	35	0 0 2
32.36	2.766	31	2 3 0
26.22	3.398	28	1 2 1
47.78	1.903	20	2 3 2
38.29	2.351	18	3 3 0
59.75	1.548	15	3 0 3
52.26	1.751	15	3 3 2
61.32	1.512	9	2 6 1

YSc7Al4: theoretical powder XRD pattern (Cu Kα (weighted mean of Kα1 and Kα2)), based on DFT lattice parameters and positions (PBE).
Neutral-atom scattering factors, no anomalous dispersion.

Cell and atoms:
```
data_YSc7Al4
_chemical_formula_sum 'Y2 Sc14 Al8'
_symmetry_space_group_name_H-M 'C 1 2/m 1'
_symmetry_Int_Tables_number 12
_cell_length_a 13.0743
_cell_length_b 5.1163
_cell_length_c 9.8860
_cell_angle_alpha 90.00
_cell_angle_beta 124.75
_cell_angle_gamma 90.00
loop_
_symmetry_equiv_pos_as_xyz
'x,y,z'
'-x,-y,-z'
'-x,y,-z'
'x,-y,z'
'x+1/2,y+1/2,z'
'-x+1/2,-y+1/2,-z'
'-x+1/2,y+1/2,-z'
'x+1/2,-y+1/2,z'
loop_
_atom_site_label
_atom_site_fract_x
_atom_site_fract_y
_atom_site_fract_z
Y1 0.0000 0.0000 0.0000
Sc1 0.0000 0.5000 0.0000
Sc2 0.0625 0.0000 0.3895
Sc3 0.1956 0.5000 0.6365
Sc4 0.2167 0.0000 0.8748
Al1 0.0602 0.5000 0.7693
Al2 0.1802 0.5000 0.3327
```

Principal peaks in the range 2θ = 10–90°, in order of falling intensity:
Position (°2θ)	d (Å)	intensity	(hkl)
35.08	2.558	100	0 2 0
32.73	2.736	74	1 1 2
32.91	2.721	70	3 1 -3
30.75	2.908	57	4 0 -3
40.82	2.210	44	5 1 -1
28.44	3.138	40	4 0 -1
37.13	2.422	33	3 1 1
47.33	1.921	32	4 2 -3
37.36	2.407	27	2 0 -4
52.17	1.753	25	2 2 -4

Y2ScAl2: theoretical powder XRD pattern (Cu Kα (weighted mean of Kα1 and Kα2)), based on DFT lattice parameters and positions (PBE).
Neutral-atom scattering factors, no anomalous dispersion.

Cell and atoms:
```
data_Y2ScAl2
_chemical_formula_sum 'Y4 Sc2 Al4'
_symmetry_space_group_name_H-M 'I m m m'
_symmetry_Int_Tables_number 71
_symmetry_space_group_name_Hall '-I 2 2'
_cell_length_a 4.5136
_cell_length_b 6.2954
_cell_length_c 8.8553
_cell_angle_alpha 90.00
_cell_angle_beta 90.00
_cell_angle_gamma 90.00
loop_
_atom_site_label
_atom_site_fract_x
_atom_site_fract_y
_atom_site_fract_z
Y1 0.0000 0.0000 0.2010
Sc1 0.0000 0.5000 0.0000
Al1 0.0000 0.2893 0.5000
```

Principal peaks in the range 2θ = 10–90°, in order of falling intensity:
Position (°2θ)	d (Å)	intensity	(hkl)
31.68	2.825	100	1 1 2
24.26	3.668	35	1 1 0
36.24	2.479	35	1 2 1
33.53	2.673	31	0 1 3
28.35	3.148	25	0 2 0
39.95	2.257	24	2 0 0
63.72	1.460	22	1 2 5
34.98	2.565	20	0 2 2
36.37	2.470	19	1 0 3
53.12	1.724	16	2 1 3